1.
Structure and computed X-ray diffraction stick pattern of Ba2CoO4 (a GGA+U-relaxed structure; Cu Kα (λ = 1.5418 Å)).
No peak broadening, texture or thermal motion is included.

Structure:
```
data_Ba2CoO4
_chemical_formula_sum 'Ba8 Co4 O16'
_cell_length_a 7.701
_cell_length_b 5.956
_cell_length_c 10.664
_cell_angle_alpha 90.00
_cell_angle_beta 90.00
_cell_angle_gamma 90.00
_space_group_name_H-M_alt 'P n m a'
_space_group_IT_number 62
loop_
_space_group_symop_operation_xyz
'x,y,z'
'-x,-y,-z'
'-x+1/2,-y,z+1/2'
'x+1/2,y,-z+1/2'
'x+1/2,-y+1/2,-z+1/2'
'-x+1/2,y+1/2,z+1/2'
'-x,y+1/2,-z'
'x,-y+1/2,z'
loop_
_atom_site_label
_atom_site_type_symbol
_atom_site_fract_x
_atom_site_fract_y
_atom_site_fract_z
Ba1 Ba 0.009 0.250 0.190
Ba2 Ba 0.148 0.750 0.426
Co1 Co 0.224 0.750 0.077
O1 O 0.008 0.250 0.918
O2 O 0.185 0.003 0.648
O3 O 0.191 0.250 0.418
```

Most intense lines, 2θ from 10° to 90°, sorted by position:
hkl 1 1 2, 2θ 25.23, I 71; hkl 1 0 3, 2θ 27.61, I 51; hkl 2 0 2, 2θ 28.60, I 35; hkl 2 1 1, 2θ 28.85, I 77; hkl 0 1 3, 2θ 29.26, I 100; hkl 0 2 0, 2θ 30.01, I 80; hkl 3 0 1, 2θ 35.99, I 29; hkl 3 1 1, 2θ 39.15, I 32; hkl 2 2 2, 2θ 41.93, I 29; hkl 3 1 4, 2θ 51.77, I 37

---

2.
Structure and computed X-ray diffraction stick pattern of Li9Mn2Co5O16 (a GGA+U-relaxed structure; Cu Kα (λ = 1.5418 Å)).
No peak broadening, texture or thermal motion is included.

Structure:
```
data_Li9Mn2Co5O16
_chemical_formula_sum 'Li9 Mn2 Co5 O16'
_cell_length_a 5.219
_cell_length_b 2.884
_cell_length_c 19.474
_cell_angle_alpha 90.00
_cell_angle_beta 96.73
_cell_angle_gamma 90.00
_space_group_name_H-M_alt 'P 1 m 1'
_space_group_IT_number 6
loop_
_space_group_symop_operation_xyz
'x,y,z'
'x,-y,z'
loop_
_atom_site_label
_atom_site_type_symbol
_atom_site_fract_x
_atom_site_fract_y
_atom_site_fract_z
Li1 Li 0.000 0.000 0.000
Li2 Li 0.001 0.500 0.502
Li3 Li 0.240 0.000 0.761
Li4 Li 0.243 0.500 0.253
Li5 Li 0.500 0.000 0.502
Li6 Li 0.507 0.500 0.003
Li7 Li 0.624 0.000 0.880
Li8 Li 0.742 0.500 0.760
Li9 Li 0.755 0.000 0.254
Mn1 Mn 0.371 0.500 0.631
Mn2 Mn 0.871 0.000 0.630
Co1 Co 0.124 0.000 0.379
Co2 Co 0.125 0.500 0.880
Co3 Co 0.375 0.000 0.129
Co4 Co 0.624 0.500 0.379
Co5 Co 0.874 0.500 0.127
O1 O 0.030 0.500 0.688
O2 O 0.045 0.000 0.188
O3 O 0.202 0.500 0.076
O4 O 0.215 0.000 0.572
O5 O 0.292 0.000 0.935
O6 O 0.309 0.500 0.436
O7 O 0.386 0.500 0.827
O8 O 0.437 0.000 0.320
O9 O 0.532 0.000 0.691
O10 O 0.550 0.500 0.182
O11 O 0.700 0.000 0.066
O12 O 0.710 0.500 0.571
O13 O 0.812 0.000 0.437
O14 O 0.864 0.500 0.933
O15 O 0.938 0.500 0.322
O16 O 0.956 0.000 0.825
```

Most intense lines, 2θ from 10° to 90°, sorted by position:
hkl 0 0 4, 2θ 18.35, I 100; hkl 2 0 -2, 2θ 34.77, I 17; hkl 1 1 1, 2θ 36.21, I 27; hkl 1 1 -3, 2θ 37.58, I 8; hkl 2 0 -6, 2θ 42.10, I 31; hkl 1 1 5, 2θ 43.99, I 54; hkl 1 1 -7, 2θ 47.43, I 10; hkl 1 1 9, 2θ 57.97, I 9; hkl 3 1 -1, 2θ 62.36, I 16; hkl 1 1 -11, 2θ 62.69, I 15